# RbYTe3Pb
Calculated X-ray powder pattern, CuKα. Input: a structure optimized by DFT (GGA-PBE).

Atomic structure:
a = 9.5728 Å, b = 4.5020 Å, c = 12.0955 Å
α = 90.00°, β = 108.44°, γ = 90.00°
Space group P2_1/m (No. 11)
Symmetry-distinct sites (fractional):
Rb: 0.2143 0.2500 0.2545 [2 per cell]
Y: 0.3664 0.7500 0.8480 [2 per cell]
Te: 0.1243 0.2500 0.8030 [2 per cell]
Te: 0.3623 0.7500 0.5849 [2 per cell]
Te: 0.4013 0.7500 0.1086 [2 per cell]
Pb: 0.1423 0.2500 0.5623 [2 per cell]

Main lines, low angle first (5° ≤ 2θ ≤ 70°):
| 2θ (°) | d_spacing | Rel. int. | index |
| --- | --- | --- | --- |
| 10.3 | 8.559 | 62 | 1 0 -1 |
| 24.4 | 3.648 | 22 | 1 1 1 |
| 27.9 | 3.197 | 100 | 2 1 0 |
| 29.5 | 3.024 | 37 | 1 0 -4 |
| 40.1 | 2.251 | 22 | 0 2 0 |
| 41.1 | 2.197 | 55 | 1 1 4 |

---

# Rb2Tl2Pb
Calculated X-ray powder pattern, CuKα. Input: a structure optimized by DFT (GGA-PBE).

Atomic structure:
a = 12.2087 Å, b = 7.2753 Å, c = 9.9604 Å
α = 90.00°, β = 101.78°, γ = 90.00°
Space group C2/c (No. 15)
Symmetry-distinct sites (fractional):
Rb: 0.1534 0.1139 0.1614 [8 per cell]
Tl: 0.1225 0.3733 0.4965 [8 per cell]
Pb: 0.0000 0.3704 0.7500 [4 per cell]

Main lines, low angle first (5° ≤ 2θ ≤ 70°):
| 2θ (°) | d_spacing | Rel. int. | index |
| --- | --- | --- | --- |
| 14.3 | 6.214 | 94 | 1 1 0 |
| 17.7 | 5.005 | 46 | 1 1 1 |
| 28.6 | 3.117 | 100 | 3 1 1 |
| 29.6 | 3.014 | 52 | 1 1 -3 |
| 31.1 | 2.874 | 87 | 2 2 1 |
| 31.8 | 2.817 | 43 | 4 0 -2 |

---

# RbTl3Pb
Calculated X-ray powder pattern, CuKα. Input: a structure optimized by DFT (GGA-PBE).

Atomic structure:
a = 8.4671 Å, b = 5.1873 Å, c = 8.6886 Å
α = 90.00°, β = 105.97°, γ = 90.00°
Space group P2_1/m (No. 11)
Symmetry-distinct sites (fractional):
Rb: 0.1779 0.2500 0.2049 [2 per cell]
Tl: 0.1258 0.2500 0.7410 [2 per cell]
Tl: 0.3790 0.7500 0.9397 [2 per cell]
Tl: 0.4940 0.2500 0.6582 [2 per cell]
Pb: 0.2280 0.7500 0.5556 [2 per cell]

Main lines, low angle first (5° ≤ 2θ ≤ 70°):
| 2θ (°) | d_spacing | Rel. int. | index |
| --- | --- | --- | --- |
| 12.9 | 6.847 | 44 | 1 0 -1 |
| 27.6 | 3.233 | 76 | 2 1 -1 |
| 27.9 | 3.202 | 41 | 2 1 0 |
| 31.7 | 2.820 | 100 | 1 1 2 |
| 34.6 | 2.594 | 59 | 0 2 0 |
| 36.3 | 2.476 | 49 | 3 1 -1 |

---

# Rb3Tl2Pb7
Calculated X-ray powder pattern, CuKα. Input: a structure optimized by DFT (GGA-PBE).

Atomic structure:
a = 6.9798 Å, b = 6.9798 Å, c = 31.7186 Å
α = 90.00°, β = 90.00°, γ = 120.00°
Space group R-3m (No. 166, hexagonal axes)
Symmetry-distinct sites (fractional):
Rb: 0.0000 0.0000 0.0000 [3 per cell]
Rb: 0.0000 0.0000 0.1416 [6 per cell]
Tl: 0.0000 0.0000 0.3361 [6 per cell]
Pb: 0.0000 0.0000 0.5000 [3 per cell]
Pb: 0.0005 0.5003 0.9173 [18 per cell]

Main lines, low angle first (5° ≤ 2θ ≤ 70°):
| 2θ (°) | d_spacing | Rel. int. | index |
| --- | --- | --- | --- |
| 14.9 | 5.938 | 59 | 1 0 1 |
| 30.7 | 2.912 | 100 | 1 1 6 |
| 32.8 | 2.729 | 56 | 2 0 5 |
| 33.9 | 2.643 | 31 | 0 0 12 |
| 35.7 | 2.514 | 38 | 0 2 7 |
| 52.4 | 1.745 | 35 | 2 2 0 |